(1)
For Y2Ni2C3N, a cell relaxed with GGA-PBE gives the theoretical X-ray diffraction stick pattern in this record (copper Kα).
Neutral-atom scattering factors, no anomalous dispersion.

Crystal structure
Lattice parameters (Å, degrees): 3.508 3.508 7.398 90.00 90.00 90.00
Space group P4mm (No. 99)
Asymmetric unit:
Y1 0.000 0.000 0.000 x1
Y2 0.500 0.500 0.337 x1
Ni1 0.000 0.500 0.662 x2
C1 0.000 0.000 0.508 x1
C2 0.500 0.500 0.014 x1
C3 0.500 0.500 0.826 x1
N1 0.000 0.000 0.320 x1

Largest 10 diffraction maxima, by intensity, 10° ≤ 2θ ≤ 90°:
(hkl)	Position (°2θ)	I/Imax
1 1 1	38.27	100
1 1 2	43.95	79
1 0 1	28.15	65
1 0 2	35.26	59
0 0 3	36.43	58
2 0 0	52.14	49
2 0 3	65.27	39
1 1 4	62.65	25
2 1 2	64.51	19
2 1 1	60.30	17

---

(2)
For PrScCN2O2, a cell relaxed with GGA-PBE gives the theoretical X-ray diffraction stick pattern in this record (copper Kα).
Neutral-atom scattering factors, no anomalous dispersion.

Crystal structure
Lattice parameters (Å, degrees): 3.7083 3.7083 8.1138 90.00 90.00 120.00
Space group P3m1 (No. 156)
Asymmetric unit:
Pr1 0.0000 0.0000 0.0000 x1
Sc1 0.6667 0.3333 0.6471 x1
C1 0.3333 0.6667 0.3327 x1
N1 0.3333 0.6667 0.1793 x1
N2 0.3333 0.6667 0.4840 x1
O1 0.0000 0.0000 0.7012 x1
O2 0.6667 0.3333 0.9020 x1

Largest 10 diffraction maxima, by intensity, 10° ≤ 2θ ≤ 90°:
(hkl)	Position (°2θ)	I/Imax
0 1 1	29.92	100
0 0 1	10.90	85
1 0 2	35.66	43
0 1 3	43.76	32
1 1 0	49.14	29
1 0 0	27.78	27
0 1 4	53.43	23
0 0 2	21.91	21
1 1 3	60.54	16
0 0 3	33.12	15

---

(3)
For Pr2TaCN2O4, a cell relaxed with GGA-PBE gives the theoretical X-ray diffraction stick pattern in this record (copper Kα).
Neutral-atom scattering factors, no anomalous dispersion.

Crystal structure
Lattice parameters (Å, degrees): 6.556 6.839 6.870 68.64 75.66 84.11
Space group P-1 (No. 2)
Asymmetric unit:
Pr1 0.179 0.222 0.030 x2
Pr2 0.261 0.671 0.429 x2
Ta1 0.218 0.141 0.539 x2
C1 0.321 0.694 0.939 x2
N1 0.206 0.658 0.837 x2
N2 0.430 0.730 0.043 x2
O1 0.003 0.883 0.199 x2
O2 0.123 0.379 0.344 x2
O3 0.356 0.318 0.639 x2
O4 0.365 0.013 0.344 x2

Largest 10 diffraction maxima, by intensity, 10° ≤ 2θ ≤ 90°:
(hkl)	Position (°2θ)	I/Imax
2 0 0	28.08	100
1 2 0	31.26	65
0 0 2	28.66	58
0 0 1	14.21	50
1 2 2	32.42	48
2 0 2	35.49	36
1 -2 0	31.62	34
1 -1 0	19.88	28
1 1 2	27.26	27
1 0 0	13.93	24

---

(4)
For TbPrCN2O2, a cell relaxed with GGA-PBE gives the theoretical X-ray diffraction stick pattern in this record (copper Kα).
Neutral-atom scattering factors, no anomalous dispersion.

Crystal structure
Lattice parameters (Å, degrees): 3.8262 3.8262 8.2642 90.00 90.00 120.00
Space group P3m1 (No. 156)
Asymmetric unit:
Tb1 0.0000 0.0000 0.0000 x1
Pr1 0.3333 0.6667 0.3595 x1
C1 0.6667 0.3333 0.6842 x1
N1 0.6667 0.3333 0.5344 x1
N2 0.6667 0.3333 0.8335 x1
O1 0.0000 0.0000 0.2738 x1
O2 0.3333 0.6667 0.0679 x1

Largest 10 diffraction maxima, by intensity, 10° ≤ 2θ ≤ 90°:
(hkl)	Position (°2θ)	I/Imax
0 1 1	29.03	100
0 0 1	10.71	45
1 0 2	34.70	41
1 1 0	47.53	29
0 1 4	52.17	24
0 1 3	42.68	21
1 1 3	58.76	20
0 0 2	21.51	19
0 0 3	32.50	18
1 0 0	26.91	17